Computed PXRD pattern of PmHo2Tm3Te6 for Cu Kα X-rays, from a structure optimized by DFT (GGA-PBE).
Peak positions follow from Bragg's law for the DFT cell and can differ from measured ones.

Main lines, in order of rising 2θ (2θ = 15–90°):
29.1 deg, intensity 100.0, (1 1 -2)
41.3 deg, intensity 38.5, (2 0 -4)
41.9 deg, intensity 37.0, (0 2 0)
50.7 deg, intensity 7.0, (8 0 -4)
51.8 deg, intensity 19.8, (6 2 0)
60.3 deg, intensity 12.4, (2 2 -4)
67.9 deg, intensity 17.2, (8 2 -4)
68.8 deg, intensity 16.6, (1 3 -2)
74.8 deg, intensity 6.4, (9 1 -6)
76.2 deg, intensity 12.3, (7 3 -2)
76.6 deg, intensity 6.1, (5 3 2)
89.7 deg, intensity 4.2, (4 0 -8)

Structural model:
a = 19.029 Å, b = 4.307 Å, c = 8.750 Å
α = 90.00°, β = 104.48°, γ = 90.00°
Space group C2/m (No. 12)
Symmetry-distinct sites (fractional):
Pm  0.000  0.000  0.000 [2 per cell]
Ho  0.163  0.500  0.326 [4 per cell]
Tm  0.000  0.000  0.500 [2 per cell]
Tm  0.162  0.500  0.831 [4 per cell]
Te  0.000  0.500  0.260 [4 per cell]
Te  0.168  0.000  0.583 [4 per cell]
Te  0.172  0.000  0.081 [4 per cell]